# 1
Calculated powder diffraction line list of Rb3B12H12I for Cu Ka, from the GGA-PBE geometry in the Materials Project.

Crystal structure
```
28
Lattice="5.237 3.023 3.939 -5.237 3.023 3.939 0.000 -6.047 3.939" Properties=species:S:1:pos:R:3 pbc="T T T"
Rb -2.618 -1.512 3.939
Rb -2.618 1.512 7.878
Rb 0.000 3.023 3.939
B 0.000 -1.027 1.347
B -0.890 0.514 1.347
B 0.000 -4.383 4.257
B -3.796 2.192 4.257
B -3.796 -2.192 7.560
B 0.890 0.514 1.347
B -0.890 -0.514 10.470
B 3.796 2.192 4.257
B 3.796 -2.192 7.560
B 0.000 4.383 7.560
B 0.890 -0.514 10.470
B 0.000 1.027 10.470
H 0.000 -1.760 2.301
H -1.524 0.880 2.301
H 0.000 -3.198 4.492
H -2.770 1.599 4.492
H -2.770 -1.599 7.325
H 1.524 0.880 2.301
H -1.524 -0.880 9.516
H 2.770 1.599 4.492
H 2.770 -1.599 7.325
H 0.000 3.198 7.325
H 1.524 -0.880 9.516
H 0.000 1.760 9.516
I 0.000 0.000 5.908
```

Most intense lines, 2θ = 15–90°, sorted by position:
two_theta	I (rel.)
20.98	24.1
24.75	100.0
27.08	48.0
28.35	47.8
34.25	40.6
36.29	35.3
36.52	28.6
37.50	24.0
42.71	18.2
55.85	22.9

# 2
Calculated powder diffraction line list of RbNaMg14O15 for Cu Ka, from the GGA-PBE geometry in the Materials Project.

Crystal structure
```
31
Lattice="4.205 0.000 0.000 0.000 8.384 0.000 0.000 0.000 10.381" Properties=species:S:1:pos:R:3 pbc="T T T"
Rb 0.000 0.000 0.000
Na 0.000 4.192 10.203
Mg 0.000 0.000 4.777
Mg 0.000 1.927 7.072
Mg 0.000 2.070 2.596
Mg 0.000 4.192 4.398
Mg 0.000 6.314 2.596
Mg 0.000 6.457 7.072
Mg 2.103 0.000 2.741
Mg 2.103 0.000 7.028
Mg 2.103 2.063 9.216
Mg 2.103 2.209 4.822
Mg 2.103 4.192 2.229
Mg 2.103 4.192 7.723
Mg 2.103 6.175 4.822
Mg 2.103 6.320 9.216
O 0.000 0.000 2.723
O 0.000 0.000 6.755
O 0.000 2.195 4.763
O 0.000 2.303 8.977
O 0.000 4.192 2.307
O 0.000 6.081 8.977
O 0.000 6.189 4.763
O 2.103 0.000 4.811
O 2.103 0.000 9.000
O 2.103 2.034 2.393
O 2.103 2.341 6.941
O 2.103 4.192 4.417
O 2.103 4.192 9.685
O 2.103 6.043 6.941
O 2.103 6.350 2.393
```

Most intense lines, 2θ = 15–90°, sorted by position:
two_theta	I (rel.)
22.86	40.0
27.32	32.3
33.56	38.0
34.56	55.5
34.81	79.5
43.02	100.0
43.16	91.9
43.59	27.5
62.58	53.9
73.52	29.6

# 3
Calculated powder diffraction line list of ScInPd2 for Cu Ka, from the GGA-PBE geometry in the Materials Project.

Crystal structure
```
16
Lattice="6.592 0.000 0.000 0.000 6.592 0.000 0.000 0.000 6.592" Properties=species:S:1:pos:R:3 pbc="T T T"
Sc 0.000 0.000 0.000
Sc 0.000 3.296 3.296
Sc 3.296 0.000 3.296
Sc 3.296 3.296 0.000
In 0.000 0.000 3.296
In 0.000 3.296 0.000
In 3.296 0.000 0.000
In 3.296 3.296 3.296
Pd 1.648 1.648 1.648
Pd 1.648 1.648 4.944
Pd 1.648 4.944 1.648
Pd 1.648 4.944 4.944
Pd 4.944 1.648 1.648
Pd 4.944 1.648 4.944
Pd 4.944 4.944 1.648
Pd 4.944 4.944 4.944
```

Most intense lines, 2θ = 15–90°, sorted by position:
two_theta	I (rel.)
23.37	8.7
27.05	2.7
38.63	100.0
45.64	4.6
55.78	16.6
61.29	1.9
69.90	32.9
74.84	1.5
82.83	10.3
87.55	1.5

# 4
Calculated powder diffraction line list of RuN2 for Cu Ka, from the GGA-PBE geometry in the Materials Project.

Crystal structure
```
6
Lattice="4.113 0.000 0.000 0.000 4.931 0.000 0.000 0.000 2.717" Properties=species:S:1:pos:R:3 pbc="T T T"
Ru 0.000 0.000 0.000
Ru 2.057 2.466 1.359
N 0.496 2.016 0.000
N 1.561 4.482 1.359
N 2.553 0.450 1.359
N 3.617 2.915 0.000
```

Most intense lines, 2θ = 15–90°, sorted by position:
two_theta	I (rel.)
28.25	100.0
36.44	44.8
37.80	40.6
39.76	79.9
44.03	22.5
55.02	49.2
58.44	18.2
59.40	33.7
60.67	16.8
83.22	12.9

# 5
Calculated powder diffraction line list of K2Ge2O5 for Cu Ka, from the GGA-PBE geometry in the Materials Project.

Crystal structure
```
54
Lattice="8.534 -5.888 0.000 8.534 5.888 0.000 -4.627 0.000 9.330" Properties=species:S:1:pos:R:3 pbc="T T T"
K 6.221 5.699 4.665
K 1.631 3.266 8.386
K 4.777 3.128 6.855
K 8.219 2.882 5.471
K 4.934 0.339 5.187
K 7.150 2.749 9.251
K 7.247 -0.339 0.522
K 3.945 -3.266 3.721
K 7.090 -3.128 2.190
K 10.533 -2.882 0.806
K 9.463 -2.749 4.586
K 8.534 -5.699 0.000
Ge -1.279 0.183 7.956
Ge 5.461 2.703 2.662
Ge 1.034 -0.183 3.291
Ge 1.551 0.241 6.508
Ge 3.865 -0.241 1.843
Ge 8.578 2.971 1.793
Ge 3.147 -2.703 7.327
Ge 10.119 0.195 2.754
Ge 7.806 -0.195 7.419
Ge 10.715 0.239 5.994
Ge 6.264 -2.971 6.458
Ge 13.029 -0.239 1.329
O 0.805 1.318 2.536
O 2.918 0.221 0.387
O 0.374 0.893 7.744
O 8.347 4.464 2.775
O 0.604 -0.221 5.052
O 5.774 3.081 4.284
O 2.716 1.463 6.249
O 4.380 1.264 2.660
O -1.509 -1.318 7.200
O 6.910 2.235 1.661
O 9.127 3.265 0.213
O 2.688 -0.893 3.079
O 2.067 -1.264 7.325
O 5.030 -1.463 1.584
O 9.576 1.926 2.891
O 6.644 1.027 7.172
O 10.782 2.042 6.237
O 4.596 -2.235 6.326
O 11.267 0.191 1.343
O 8.958 -1.027 2.507
O 8.954 -0.191 6.008
O 3.460 -3.081 8.949
O 11.161 0.035 4.236
O 8.847 -0.035 8.901
O 7.263 -1.926 7.556
O 6.814 -3.265 4.878
O 13.954 0.749 2.337
O 6.034 -4.464 7.440
O 11.640 -0.749 7.002
O 13.096 -2.042 1.572
```

Most intense lines, 2θ = 15–90°, sorted by position:
two_theta	I (rel.)
19.02	100.0
22.59	39.0
27.22	28.5
27.41	22.0
27.89	24.9
30.36	50.9
30.55	90.0
34.85	22.2
35.02	22.7
35.36	28.7

# 6
Calculated powder diffraction line list of Sm5Mg41 for Cu Ka, from the GGA-PBE geometry in the Materials Project.

Crystal structure
```
46
Lattice="-7.334 7.334 5.176 7.334 -7.334 5.176 7.334 7.334 -5.176" Properties=species:S:1:pos:R:3 pbc="T T T"
Sm 0.000 0.000 0.000
Sm 6.288 3.463 0.000
Sm 3.871 -1.046 5.176
Sm 3.463 8.380 0.000
Sm 1.046 3.871 5.176
Mg 3.667 3.667 -2.588
Mg 3.667 -3.667 2.588
Mg 8.764 0.140 0.000
Mg 8.230 -4.008 3.650
Mg 3.327 -0.896 1.526
Mg 6.207 -1.956 2.499
Mg 3.255 1.791 0.000
Mg 8.462 5.337 -1.963
Mg 9.291 -1.128 2.677
Mg 11.342 0.896 1.526
Mg 9.662 3.188 0.000
Mg 5.543 -4.079 5.176
Mg 5.337 6.206 -1.963
Mg 5.378 1.128 2.677
Mg 3.188 5.006 0.000
Mg 0.896 3.327 1.526
Mg 8.462 1.956 2.499
Mg 1.997 1.128 3.213
Mg 0.140 5.904 0.000
Mg -1.128 1.997 3.213
Mg -3.667 3.667 2.588
Mg 0.000 0.000 5.176
Mg 3.667 3.667 2.588
Mg 8.462 5.337 1.963
Mg 7.194 1.430 5.176
Mg 5.337 6.206 1.963
Mg -1.128 5.378 2.677
Mg 6.438 4.008 3.650
Mg 4.146 2.328 5.176
Mg 1.956 6.207 2.499
Mg 1.997 1.128 7.139
Mg 1.791 11.413 0.000
Mg -2.328 4.146 5.176
Mg -4.008 6.438 3.650
Mg -1.956 8.462 2.499
Mg -1.128 1.997 7.139
Mg 4.079 5.543 5.176
Mg 1.128 9.291 2.677
Mg 4.008 8.230 3.650
Mg -0.896 11.342 1.526
Mg -1.430 7.194 5.176
```

Most intense lines, 2θ = 15–90°, sorted by position:
two_theta	I (rel.)
15.99	100.0
17.12	33.4
19.13	39.3
25.79	46.4
29.24	59.1
31.70	59.7
32.31	65.9
34.05	35.1
35.70	70.9
36.27	49.2

# 7
Calculated powder diffraction line list of ZrAgMo for Cu Ka, from the GGA-PBE geometry in the Materials Project.

Crystal structure
```
12
Lattice="6.378 0.000 0.000 0.000 6.378 0.000 0.000 0.000 6.378" Properties=species:S:1:pos:R:3 pbc="T T T"
Zr 0.000 0.000 0.000
Zr 0.000 3.189 3.189
Zr 3.189 0.000 3.189
Zr 3.189 3.189 0.000
Ag 1.594 1.594 4.783
Ag 1.594 4.783 1.594
Ag 4.783 1.594 1.594
Ag 4.783 4.783 4.783
Mo 0.000 0.000 3.189
Mo 0.000 3.189 0.000
Mo 3.189 0.000 0.000
Mo 3.189 3.189 3.189
```

Most intense lines, 2θ = 15–90°, sorted by position:
two_theta	I (rel.)
24.17	35.3
27.98	9.0
39.98	100.0
47.27	16.6
57.83	16.2
63.59	6.5
65.44	3.1
72.62	32.4
77.82	4.8
86.28	10.5